Computed powder diffraction line list
Compound: Sr2Li2Ag3
Radiation: λ = 1.5418 Å (Cu Kα)
Structure: DFT lattice parameters and positions (PBE)

Structural model:
Lattice parameters (Å, degrees): 10.490 10.490 7.913 90.00 90.00 155.19
Fractional coordinates of all 14 atoms:
Sr 0.054 0.946 0.750
Sr 0.155 0.845 0.250
Sr 0.845 0.155 0.750
Sr 0.946 0.054 0.250
Li 0.308 0.692 0.060
Li 0.308 0.692 0.440
Li 0.692 0.308 0.560
Li 0.692 0.308 0.940
Ag 0.223 0.777 0.750
Ag 0.438 0.562 0.570
Ag 0.438 0.562 0.930
Ag 0.562 0.438 0.070
Ag 0.562 0.438 0.430
Ag 0.777 0.223 0.250

Most intense lines, 2θ from 10° to 90°, by angle:
2θ = 23.65°, rel. 272; 2θ = 30.37°, rel. 805; 2θ = 31.60°, rel. 1000; 2θ = 40.00°, rel. 312; 2θ = 43.36°, rel. 418; 2θ = 66.69°, rel. 249